[1]
For Cu2SiO4, the PBE geometry in the Materials Project gives the simulated X-ray powder pattern in this record (Cu Kα (weighted mean of Kα1 and Kα2)).
No peak broadening, texture or thermal motion is included.

Top 12 peaks for 10° ≤ 2θ ≤ 90°, low angle first:
Position (°2θ)  intensity
22.4  28
24.7  50
28.0  30
35.3  28
37.7  100
45.7  19
50.8  27
57.3  15
59.0  12
64.0  9
65.0  36
69.7  19

Structure:
```
7
Lattice="-2.544 2.544 3.182 2.544 -2.544 3.182 2.544 2.544 -3.182" Properties=species:S:1:pos:R:3 pbc="T T T"
Cu 2.544 0.000 1.591
Cu 0.000 2.544 1.591
Si 0.000 0.000 0.000
O 1.578 -1.578 2.258
O 0.966 0.966 0.924
O -1.578 1.578 2.258
O 1.578 1.578 4.106
```


[2]
For U2CuSi2O17, the PBE geometry in the Materials Project gives the simulated X-ray powder pattern in this record (Cu Kα (weighted mean of Kα1 and Kα2)).
No peak broadening, texture or thermal motion is included.

Top 12 peaks for 10° ≤ 2θ ≤ 90°, low angle first:
Position (°2θ)  intensity
12.4  100
15.4  42
18.1  25
18.7  33
24.9  34
25.8  37
26.5  20
28.5  18
30.4  20
30.8  15
30.9  21
31.2  27

Structure:
```
22
Lattice="6.797 0.000 0.000 0.443 7.035 0.000 2.487 2.141 7.141" Properties=species:S:1:pos:R:3 pbc="T T T"
U 1.041 1.699 0.002
U 8.685 7.478 7.139
Cu 4.863 4.588 3.570
Si 5.052 7.282 6.708
Si 4.674 1.894 0.433
O 1.243 1.071 3.570
O 1.187 1.528 1.885
O 3.973 6.132 7.124
O 3.313 3.961 5.341
O 4.116 8.607 6.765
O 3.393 5.008 2.701
O 4.708 6.410 4.202
O 5.711 3.884 6.903
O 4.098 2.383 2.024
O 5.629 6.793 5.117
O 4.015 5.292 0.238
O 5.019 2.766 2.939
O 6.334 4.168 4.440
O 5.611 0.569 0.376
O 6.413 5.215 1.800
O 5.754 3.044 0.017
O 8.539 7.648 5.256
```